1.
Starting from a cell relaxed with PBE, the powder XRD pattern of HfPdPt was computed for Cu Kα.

Top 8 peaks for 10° ≤ 2θ ≤ 90°, low angle first:
- d 2.432, I 65
- d 2.222, I 100
- d 1.720, I 23
- d 1.456, I 6
- d 1.360, I 42
- d 1.249, I 16
- d 1.216, I 7
- d 1.111, I 11

Structure:
Cell lengths 3.4397, 3.4397, 8.7340 Å; angles 90.00, 90.00, 90.00 degrees
Space group P4/mmm (No. 123)
Asymmetric unit:
Hf 0.0000 0.0000 0.0000 (multiplicity 1)
Hf 0.5000 0.5000 0.5000 (multiplicity 1)
Pd 0.0000 0.0000 0.3409 (multiplicity 2)
Pt 0.5000 0.5000 0.1617 (multiplicity 2)

2.
Starting from a cell relaxed with PBE, the powder XRD pattern of SmTeAuO was computed for Cu Kα.

Top 8 peaks for 10° ≤ 2θ ≤ 90°, low angle first:
- d 3.220, I 94
- d 2.913, I 100
- d 2.793, I 65
- d 2.644, I 84
- d 2.530, I 59
- d 2.016, I 64
- d 1.910, I 41
- d 1.688, I 42

Structure:
Cell lengths 20.7137, 5.8004, 5.8264 Å; angles 90.00, 90.00, 90.00 degrees
Space group Aea2 (No. 41)
Asymmetric unit:
Sm 0.0540 0.2498 0.0000 (multiplicity 8)
Te 0.1404 0.2486 0.5003 (multiplicity 8)
Au 0.2498 0.4975 0.0036 (multiplicity 8)
O 0.0000 0.0000 0.2501 (multiplicity 4)
O 0.0000 0.0000 0.7500 (multiplicity 4)

Q: Number 1 is which compound?
A: HfPdPt